Li3HoPb3: computed powder diffractogram (CuKα), based on a crystal structure in Alexandria, relaxed with GGA-PBE.

Top 10 peaks for 15° ≤ 2θ ≤ 90°, in order of rising 2θ:
| (hkl) | 2θ (°) | intensity |
| --- | --- | --- |
| 2 0 0 | 24.6 | 29 |
| 2 1 0 | 27.5 | 100 |
| 2 1 1 | 30.2 | 69 |
| 2 2 2 | 43.2 | 14 |
| 3 2 0 | 45.1 | 27 |
| 3 2 1 | 46.9 | 42 |
| 4 0 0 | 50.4 | 19 |
| 4 2 1 | 58.3 | 26 |
| 5 2 0 | 69.9 | 23 |
| 6 1 1 | 82.0 | 13 |

```
Li3HoPb3
1.0
7.2472 0.0000 0.0000
0.0000 7.2472 0.0000
0.0000 0.0000 7.2472
Li Ho Pb
6 2 6
direct
0.0000 0.2500 0.5000
0.0000 0.7500 0.5000
0.2500 0.5000 0.0000
0.5000 0.0000 0.2500
0.5000 0.0000 0.7500
0.7500 0.5000 0.0000
0.0000 0.0000 0.0000
0.5000 0.5000 0.5000
0.0000 0.5000 0.2500
0.0000 0.5000 0.7500
0.2500 0.0000 0.5000
0.5000 0.2500 0.0000
0.5000 0.7500 0.0000
0.7500 0.0000 0.5000
```